Entry 1:
Structure and computed XRD peak list of Sm3CuGeSe7 (a DFT-relaxed cell (PBE, the Materials Project); copper Kα).
Neutral-atom scattering factors, no anomalous dispersion.

Crystal structure
abc: 10.5339 10.5339 6.1238
angles: 90.00 90.00 120.00
Space group P6_3 (No. 173)
Asymmetric unit:
Sm: 0.1310 0.3553 0.0000 [6 per cell]
Cu: 0.0000 0.0000 0.4636 [2 per cell]
Ge: 0.3333 0.6667 0.5818 [2 per cell]
Se: 0.0964 0.2586 0.4775 [6 per cell]
Se: 0.0964 0.5789 0.7450 [6 per cell]
Se: 0.3333 0.6667 0.1969 [2 per cell]

Main lines, sorted by position (2θ from 15° to 90°):
| 2theta | d [Å] | I/Imax |
| --- | --- | --- |
| 24.3 | 3.658 | 627 |
| 29.7 | 3.005 | 603 |
| 30.8 | 2.903 | 700 |
| 32.9 | 2.724 | 569 |
| 34.0 | 2.633 | 1000 |
| 35.3 | 2.542 | 605 |
| 35.5 | 2.530 | 771 |
| 38.5 | 2.338 | 494 |
| 39.4 | 2.289 | 629 |
| 45.4 | 1.997 | 352 |



Entry 2:
Structure and computed XRD peak list of Mg14CoSb (a DFT-relaxed cell (PBE, the Materials Project); copper Kα).
Neutral-atom scattering factors, no anomalous dispersion.

Crystal structure
abc: 6.2386 6.2386 10.2532
angles: 90.00 90.00 120.00
Space group P-6m2 (No. 187)
Asymmetric unit:
Mg: 0.0000 0.0000 0.2491 [2 per cell]
Mg: 0.0102 0.5051 0.2677 [6 per cell]
Mg: 0.3288 0.1644 0.5000 [3 per cell]
Mg: 0.3338 0.1669 0.0000 [3 per cell]
Co: 0.3333 0.6667 0.5000 [1 per cell]
Sb: 0.3333 0.6667 0.0000 [1 per cell]

Main lines, sorted by position (2θ from 15° to 90°):
| 2theta | d [Å] | I/Imax |
| --- | --- | --- |
| 16.4 | 5.403 | 336 |
| 23.9 | 3.719 | 235 |
| 33.2 | 2.701 | 278 |
| 35.0 | 2.563 | 257 |
| 37.6 | 2.390 | 1000 |
| 49.0 | 1.859 | 177 |
| 59.2 | 1.560 | 166 |
| 64.5 | 1.444 | 174 |
| 70.7 | 1.332 | 179 |
| 72.3 | 1.306 | 133 |



Entry 3:
Structure and computed XRD peak list of NaEuHfSbO6 (a DFT-relaxed cell (PBE, the Materials Project); copper Kα).
Neutral-atom scattering factors, no anomalous dispersion.

Crystal structure
abc: 8.1139 8.1139 8.1139
angles: 90.00 90.00 90.00
Space group F-43m (No. 216)
Asymmetric unit:
Na: 0.0000 0.0000 0.0000 [4 per cell]
Eu: 0.0000 0.0000 0.5000 [4 per cell]
Hf: 0.2500 0.2500 0.2500 [4 per cell]
Sb: 0.2500 0.2500 0.7500 [4 per cell]
O: 0.0045 0.2500 0.7500 [24 per cell]

Main lines, sorted by position (2θ from 15° to 90°):
| 2theta | d [Å] | I/Imax |
| --- | --- | --- |
| 18.9 | 4.685 | 216 |
| 21.9 | 4.057 | 154 |
| 31.2 | 2.869 | 1000 |
| 36.7 | 2.446 | 131 |
| 44.7 | 2.028 | 307 |
| 50.3 | 1.814 | 61 |
| 55.5 | 1.656 | 401 |
| 65.0 | 1.434 | 188 |
| 73.9 | 1.283 | 174 |
| 82.3 | 1.171 | 63 |



Entry 4:
Structure and computed XRD peak list of LiAg (a DFT-relaxed cell (PBE, the Materials Project); copper Kα).
Neutral-atom scattering factors, no anomalous dispersion.

Crystal structure
abc: 3.1920 3.1920 3.1920
angles: 90.00 90.00 90.00
Space group Pm-3m (No. 221)
Asymmetric unit:
Li: 0.0000 0.0000 0.0000 [1 per cell]
Ag: 0.5000 0.5000 0.5000 [1 per cell]

Main lines, sorted by position (2θ from 15° to 90°):
| 2theta | d [Å] | I/Imax |
| --- | --- | --- |
| 28.0 | 3.192 | 1000 |
| 39.9 | 2.257 | 905 |
| 49.5 | 1.843 | 263 |
| 57.8 | 1.596 | 145 |
| 65.4 | 1.428 | 325 |
| 72.5 | 1.303 | 287 |
| 86.2 | 1.129 | 92 |



Entry 5:
Structure and computed XRD peak list of MgSi2 (a DFT-relaxed cell (PBE, the Materials Project); copper Kα).
Neutral-atom scattering factors, no anomalous dispersion.

Crystal structure
abc: 5.3800 3.4913 11.0380
angles: 90.00 90.00 90.00
Space group Pnma (No. 62)
Asymmetric unit:
Mg: 0.2271 0.2500 0.0682 [4 per cell]
Si: 0.0500 0.2500 0.7504 [4 per cell]
Si: 0.2232 0.2500 0.3674 [4 per cell]

Main lines, sorted by position (2θ from 15° to 90°):
| 2theta | d [Å] | I/Imax |
| --- | --- | --- |
| 16.1 | 5.519 | 199 |
| 35.4 | 2.533 | 1000 |
| 36.6 | 2.455 | 173 |
| 37.2 | 2.418 | 237 |
| 39.3 | 2.291 | 262 |
| 42.4 | 2.131 | 133 |
| 43.2 | 2.092 | 635 |
| 47.2 | 1.926 | 241 |
| 52.4 | 1.746 | 214 |
| 67.5 | 1.388 | 147 |



Entry 6:
Structure and computed XRD peak list of SnI2 (a DFT-relaxed cell (PBE, the Materials Project); copper Kα).
Neutral-atom scattering factors, no anomalous dispersion.

Crystal structure
abc: 7.6307 7.6307 4.6958
angles: 90.00 90.00 90.00
Space group P4_2/mnm (No. 136)
Asymmetric unit:
Sn: 0.0000 0.0000 0.0000 [2 per cell]
I: 0.2015 0.2015 0.5000 [4 per cell]

Main lines, sorted by position (2θ from 15° to 90°):
| 2theta | d [Å] | I/Imax |
| --- | --- | --- |
| 16.4 | 5.396 | 532 |
| 25.1 | 3.542 | 1000 |
| 26.1 | 3.413 | 327 |
| 32.4 | 2.761 | 664 |
| 33.2 | 2.698 | 391 |
| 38.3 | 2.348 | 217 |
| 40.3 | 2.237 | 559 |
| 42.1 | 2.146 | 203 |
| 51.6 | 1.771 | 225 |
| 69.3 | 1.357 | 238 |



Entry 7:
Structure and computed XRD peak list of Ba2CePtO6 (a DFT-relaxed cell (PBE, the Materials Project); copper Kα).
Neutral-atom scattering factors, no anomalous dispersion.

Crystal structure
abc: 8.5135 8.5135 8.5135
angles: 90.00 90.00 90.00
Space group Fm-3m (No. 225)
Asymmetric unit:
Ba: 0.2500 0.2500 0.2500 [8 per cell]
Ce: 0.0000 0.0000 0.0000 [4 per cell]
Pt: 0.0000 0.0000 0.5000 [4 per cell]
O: 0.0000 0.0000 0.2605 [24 per cell]

Main lines, sorted by position (2θ from 15° to 90°):
| 2theta | d [Å] | I/Imax |
| --- | --- | --- |
| 18.0 | 4.915 | 23 |
| 20.9 | 4.257 | 40 |
| 29.7 | 3.010 | 1000 |
| 42.5 | 2.128 | 284 |
| 47.8 | 1.904 | 17 |
| 52.7 | 1.738 | 410 |
| 61.6 | 1.505 | 180 |
| 69.9 | 1.346 | 181 |
| 77.7 | 1.229 | 60 |
| 85.3 | 1.138 | 218 |



Entry 8:
Structure and computed XRD peak list of Na3ScF6 (a DFT-relaxed cell (PBE, the Materials Project); copper Kα).
Neutral-atom scattering factors, no anomalous dispersion.

Crystal structure
abc: 5.6526 5.8822 9.9237
angles: 90.00 123.92 90.00
Space group P2_1/c (No. 14)
Asymmetric unit:
Na: 0.0000 0.0000 0.0000 [2 per cell]
Na: 0.2246 0.0552 0.7412 [4 per cell]
Sc: 0.5000 0.0000 0.5000 [2 per cell]
F: 0.1503 0.1787 0.4456 [4 per cell]
F: 0.2513 0.7148 0.4212 [4 per cell]
F: 0.3964 0.0676 0.2709 [4 per cell]

Main lines, sorted by position (2θ from 15° to 90°):
| 2theta | d [Å] | I/Imax |
| --- | --- | --- |
| 18.5 | 4.787 | 695 |
| 21.8 | 4.076 | 562 |
| 30.7 | 2.911 | 1000 |
| 31.0 | 2.882 | 879 |
| 36.6 | 2.456 | 420 |
| 44.0 | 2.059 | 482 |
| 44.5 | 2.038 | 953 |
| 54.4 | 1.687 | 640 |
| 55.6 | 1.653 | 798 |
| 56.2 | 1.637 | 408 |



Entry 9:
Structure and computed XRD peak list of UAl2Au2 (a DFT-relaxed cell (PBE, the Materials Project); copper Kα).
Neutral-atom scattering factors, no anomalous dispersion.

Crystal structure
abc: 4.3368 4.3368 10.4318
angles: 90.00 90.00 90.00
Space group P4/nmm (No. 129, origin choice 2)
Asymmetric unit:
U: 0.2500 0.2500 0.2479 [2 per cell]
Al: 0.2500 0.2500 0.8664 [2 per cell]
Al: 0.2500 0.7500 0.5000 [2 per cell]
Au: 0.2500 0.2500 0.6320 [2 per cell]
Au: 0.2500 0.7500 0.0000 [2 per cell]

Main lines, sorted by position (2θ from 15° to 90°):
| 2theta | d [Å] | I/Imax |
| --- | --- | --- |
| 26.7 | 3.335 | 252 |
| 30.4 | 2.942 | 477 |
| 33.0 | 2.713 | 632 |
| 33.9 | 2.644 | 1000 |
| 41.7 | 2.168 | 588 |
| 48.4 | 1.880 | 292 |
| 54.1 | 1.694 | 319 |
| 60.4 | 1.533 | 200 |
| 65.7 | 1.421 | 240 |
| 71.1 | 1.326 | 246 |



Entry 10:
Structure and computed XRD peak list of ReSbO3 (a DFT-relaxed cell (PBE, the Materials Project); copper Kα).
Neutral-atom scattering factors, no anomalous dispersion.

Crystal structure
abc: 3.9906 3.9906 3.9906
angles: 90.00 90.00 90.00
Space group Pm-3m (No. 221)
Asymmetric unit:
Re: 0.0000 0.0000 0.0000 [1 per cell]
Sb: 0.5000 0.5000 0.5000 [1 per cell]
O: 0.0000 0.0000 0.5000 [3 per cell]

Main lines, sorted by position (2θ from 15° to 90°):
| 2theta | d [Å] | I/Imax |
| --- | --- | --- |
| 22.3 | 3.991 | 92 |
| 31.7 | 2.822 | 1000 |
| 45.5 | 1.995 | 275 |
| 51.2 | 1.785 | 40 |
| 56.5 | 1.629 | 399 |
| 66.2 | 1.411 | 171 |
| 70.8 | 1.330 | 19 |
| 75.3 | 1.262 | 173 |
| 84.0 | 1.152 | 59 |
| 88.3 | 1.107 | 9 |